Theoretical X-ray diffraction stick pattern of Na5Re2N6 for a wavelength of 1.5418 Å, from a crystal structure in Alexandria, relaxed with GGA-PBE.
Kinematic intensities with the Lorentz-polarization factor, no thermal factor.

Top 10 peaks for 5° ≤ 2θ ≤ 70°, in order of rising 2θ:
2θ = 12.66°, intensity 30; 2θ = 17.07°, intensity 65; 2θ = 17.80°, intensity 100; 2θ = 18.29°, intensity 41; 2θ = 20.45°, intensity 31; 2θ = 21.58°, intensity 28; 2θ = 29.92°, intensity 31; 2θ = 32.01°, intensity 25; 2θ = 35.23°, intensity 31; 2θ = 38.65°, intensity 22

Crystal structure
Lattice parameters (Å, degrees): 6.0354 6.0354 14.0338 94.02 94.02 60.53
Fractional positions:
Na1 0.0807 0.9193 0.7500
Na2 0.1602 0.6616 0.9855
Na3 0.3222 0.3911 0.2880
Na4 0.3384 0.8398 0.5145
Na5 0.3911 0.3222 0.7880
Na6 0.6089 0.6778 0.2120
Na7 0.6616 0.1602 0.4855
Na8 0.6778 0.6089 0.7120
Na9 0.8398 0.3384 0.0145
Na10 0.9193 0.0807 0.2500
Re1 0.1305 0.4388 0.5865
Re2 0.4388 0.1305 0.0865
Re3 0.5612 0.8695 0.9135
Re4 0.8695 0.5612 0.4135
N1 0.1018 0.2440 0.6694
N2 0.1992 0.2804 0.4569
N3 0.2440 0.1018 0.1694
N4 0.2804 0.1992 0.9569
N5 0.3520 0.5418 0.6306
N6 0.4582 0.6480 0.8694
N7 0.5418 0.3520 0.1306
N8 0.6480 0.4582 0.3694
N9 0.7196 0.8008 0.0431
N10 0.7560 0.8982 0.8306
N11 0.8008 0.7196 0.5431
N12 0.8982 0.7560 0.3306